Tb5Se2Cl3O10: computed XRD peak list (Cu Ka), based on a DFT-relaxed cell (PBE, Alexandria).

Structural model:
```
data_Tb5Se2Cl3O10
_cell_length_a 12.2287
_cell_length_b 5.5134
_cell_length_c 9.9521
_cell_angle_alpha 90.00
_cell_angle_beta 91.69
_cell_angle_gamma 90.00
_symmetry_space_group_name_H-M 'C 1 2/m 1'
_symmetry_Int_Tables_number 12
_symmetry_space_group_name_Hall '-C 2y'
loop_
_atom_site_label
_atom_site_type_symbol
_atom_site_fract_x
_atom_site_fract_y
_atom_site_fract_z
Tb1 Tb 0.0000 0.0000 0.0000
Tb2 Tb 0.0951 0.5000 0.7658
Tb3 Tb 0.2143 0.5000 0.1028
Se1 Se 0.0963 0.0000 0.3168
Cl1 Cl 0.0000 0.5000 0.5000
Cl2 Cl 0.1565 0.0000 0.6537
O1 O 0.0609 0.2386 0.2033
O2 O 0.1434 0.2551 0.9406
O3 O 0.2319 0.0000 0.2931
```

Main lines, most intense first (5° ≤ 2θ ≤ 70°):
2θ/deg, I (rel.), index
32.51, 100, 1 1 3
8.89, 96, 0 0 1
28.48, 96, 3 1 -1
25.35, 37, 1 1 2
48.42, 25, 4 2 2
34.91, 21, 4 0 2
58.00, 16, 1 3 3
51.38, 16, 2 2 -4
55.51, 14, 3 3 -1
45.41, 13, 4 2 1